Simulated X-ray powder pattern of MgFe3Co5O16 for Cu Ka, from a PBE+U-relaxed structure.
Neutral-atom scattering factors, no anomalous dispersion.

Principal peaks in the range 2θ from 15° to 90°, sorted by position:
d_spacing  two_theta  Rel. int.
4.618  19.22  100
4.439  20.00  28
4.357  20.38  29
3.425  26.02  37
2.644  33.90  28
2.476  36.28  30
2.450  36.68  24
2.418  37.19  22
2.403  37.43  31
2.395  37.55  31

Crystal structure
```
data_MgFe3Co5O16
_cell_length_a 5.733
_cell_length_b 5.749
_cell_length_c 9.243
_cell_angle_alpha 88.09
_cell_angle_beta 87.98
_cell_angle_gamma 60.46
_space_group_name_H-M_alt 'P 1'
_space_group_IT_number 1
_space_group_name_Hall 'P 1'
loop_
_atom_site_label
_atom_site_fract_x
_atom_site_fract_y
_atom_site_fract_z
Mg1 0.000 0.000 0.000
Fe1 0.164 0.658 0.726
Fe2 0.501 0.502 0.224
Fe3 0.657 0.158 0.725
Co1 0.006 0.007 0.401
Co2 0.008 0.502 0.233
Co3 0.159 0.153 0.711
Co4 0.501 0.009 0.234
Co5 0.665 0.663 0.510
O1 0.001 0.996 0.600
O2 0.160 0.666 0.130
O3 0.175 0.175 0.144
O4 0.290 0.855 0.831
O5 0.309 0.312 0.823
O6 0.328 0.332 0.339
O7 0.375 0.820 0.365
O8 0.491 0.997 0.606
O9 0.494 0.495 0.608
O10 0.667 0.160 0.132
O11 0.678 0.680 0.130
O12 0.815 0.815 0.359
O13 0.820 0.375 0.366
O14 0.847 0.844 0.840
O15 0.851 0.288 0.829
O16 0.988 0.495 0.607
```



Simulated X-ray powder pattern of MgFe3Co5O16 for Cu Ka, from a PBE+U-relaxed structure.
Neutral-atom scattering factors, no anomalous dispersion.

Principal peaks in the range 2θ from 15° to 90°, sorted by position:
d_spacing  two_theta  Rel. int.
4.453  19.94  100
4.410  20.14  20
4.330  20.51  89
2.543  35.29  30
2.478  36.26  26
2.436  36.89  23
2.424  37.09  53
2.389  37.66  34
1.467  63.41  30
1.450  64.24  29

Crystal structure
```
data_MgFe3Co5O16
_cell_length_a 5.720
_cell_length_b 5.804
_cell_length_c 8.908
_cell_angle_alpha 90.51
_cell_angle_beta 90.85
_cell_angle_gamma 118.76
_space_group_name_H-M_alt 'P 1'
_space_group_IT_number 1
_space_group_name_Hall 'P 1'
loop_
_atom_site_label
_atom_site_fract_x
_atom_site_fract_y
_atom_site_fract_z
Mg1 0.000 0.000 0.000
Fe1 0.007 0.498 0.258
Fe2 0.333 0.662 0.752
Fe3 0.825 0.646 0.743
Co1 0.014 0.005 0.286
Co2 0.339 0.165 0.749
Co3 0.509 0.986 0.259
Co4 0.510 0.493 0.035
Co5 0.829 0.163 0.534
O1 0.123 0.291 0.405
O2 0.159 0.840 0.857
O3 0.187 0.840 0.368
O4 0.214 0.336 0.892
O5 0.331 0.151 0.154
O6 0.354 0.659 0.152
O7 0.497 0.477 0.641
O8 0.510 0.010 0.651
O9 0.631 0.332 0.892
O10 0.653 0.772 0.893
O11 0.678 0.282 0.389
O12 0.693 0.870 0.395
O13 0.842 0.138 0.158
O14 0.846 0.677 0.144
O15 0.991 0.485 0.640
O16 0.998 0.012 0.651
```